1.
Theoretical powder diffraction line list of Pr3Zn2 for copper Kα, from a crystal structure in Alexandria, relaxed with GGA-PBE.
Lines closer than 0.1° are merged.

Largest 10 diffraction maxima, low angle first, 2θ from 15° to 90°:
- 24.16°, 3.684 Å, intensity 16
- 27.01°, 3.301 Å, intensity 9
- 32.89°, 2.723 Å, intensity 100
- 33.81°, 2.651 Å, intensity 56
- 43.80°, 2.067 Å, intensity 10
- 48.57°, 1.874 Å, intensity 20
- 56.70°, 1.624 Å, intensity 8
- 58.14°, 1.587 Å, intensity 10
- 59.91°, 1.544 Å, intensity 35
- 81.12°, 1.186 Å, intensity 9

Crystal structure
```
data_Pr3Zn2
_chemical_formula_sum 'Pr6 Zn4'
_symmetry_space_group_name_H-M 'I 4/m m m'
_symmetry_Int_Tables_number 139
_symmetry_space_group_name_Hall '-I 4 2'
_cell_length_a 3.749
_cell_length_b 3.749
_cell_length_c 19.808
_cell_angle_alpha 90.00
_cell_angle_beta 90.00
_cell_angle_gamma 90.00
loop_
_atom_site_label
_atom_site_type_symbol
_atom_site_fract_x
_atom_site_fract_y
_atom_site_fract_z
Pr1 Pr 0.000 0.000 0.000
Pr2 Pr 0.000 0.000 0.182
Zn1 Zn 0.000 0.000 0.408
```



2.
Theoretical powder diffraction line list of InHg2Se3 for copper Kα, from a crystal structure in Alexandria, relaxed with GGA-PBE.
Lines closer than 0.1° are merged.

Largest 10 diffraction maxima, low angle first, 2θ from 15° to 90°:
- 24.09°, 3.694 Å, intensity 100
- 24.79°, 3.592 Å, intensity 35
- 28.09°, 3.176 Å, intensity 19
- 39.70°, 2.270 Å, intensity 50
- 40.59°, 2.222 Å, intensity 47
- 46.98°, 1.934 Å, intensity 17
- 47.37°, 1.919 Å, intensity 38
- 58.08°, 1.588 Å, intensity 16
- 63.15°, 1.472 Å, intensity 14
- 72.66°, 1.301 Å, intensity 17

Crystal structure
```
data_InHg2Se3
_chemical_formula_sum 'In1 Hg2 Se3'
_symmetry_space_group_name_H-M 'P 3 m 1'
_symmetry_Int_Tables_number 156
_cell_length_a 4.5404
_cell_length_b 4.5404
_cell_length_c 10.7758
_cell_angle_alpha 90.00
_cell_angle_beta 90.00
_cell_angle_gamma 120.00
loop_
_symmetry_equiv_pos_as_xyz
'x,y,z'
'-y,x-y,z'
'-x+y,-x,z'
'-y,-x,z'
'-x+y,y,z'
'x,x-y,z'
loop_
_atom_site_label
_atom_site_type_symbol
_atom_site_fract_x
_atom_site_fract_y
_atom_site_fract_z
In1 In 0.0000 0.0000 0.0000
Hg1 Hg 0.3333 0.6667 0.6507
Hg2 Hg 0.6667 0.3333 0.3300
Se1 Se 0.0000 0.0000 0.2494
Se2 Se 0.3333 0.6667 0.9204
Se3 Se 0.6667 0.3333 0.5834
```



3.
Theoretical powder diffraction line list of SrIn8Bi6 for copper Kα, from a crystal structure in Alexandria, relaxed with GGA-PBE.
Lines closer than 0.1° are merged.

Largest 10 diffraction maxima, low angle first, 2θ from 15° to 90°:
- 19.68°, 4.512 Å, intensity 32
- 23.24°, 3.828 Å, intensity 50
- 24.62°, 3.616 Å, intensity 16
- 31.71°, 2.822 Å, intensity 100
- 34.43°, 2.605 Å, intensity 98
- 42.52°, 2.126 Å, intensity 30
- 42.78°, 2.114 Å, intensity 21
- 47.50°, 1.914 Å, intensity 31
- 59.98°, 1.542 Å, intensity 29
- 61.67°, 1.504 Å, intensity 16

Crystal structure
```
data_SrIn8Bi6
_chemical_formula_sum 'Sr3 In24 Bi18'
_symmetry_space_group_name_H-M 'R -3'
_symmetry_Int_Tables_number 148
_symmetry_space_group_name_Hall '-R 3'
_cell_length_a 9.0236
_cell_length_b 9.0236
_cell_length_c 21.6971
_cell_angle_alpha 90.00
_cell_angle_beta 90.00
_cell_angle_gamma 120.00
loop_
_atom_site_label
_atom_site_type_symbol
_atom_site_fract_x
_atom_site_fract_y
_atom_site_fract_z
Sr1 Sr 0.0000 0.0000 0.0000
In1 In 0.0000 0.0000 0.3361
In2 In 0.0053 0.3215 0.1173
Bi1 Bi 0.0050 0.3522 0.9279
```